# Pm2Ge3
Theoretical powder diffraction line list, Cu Kα X-rays. Input: a cell relaxed with GGA-PBE.
Lines closer than 0.1° are merged.

Cell and atoms:
```
data_Pm2Ge3
_space_group_name_H-M_alt 'P 4/m b m'
_space_group_IT_number 127
_space_group_name_Hall '-P 4 2ab'
_cell_length_a 7.400
_cell_length_b 7.400
_cell_length_c 4.309
_cell_angle_alpha 90.00
_cell_angle_beta 90.00
_cell_angle_gamma 90.00
loop_
_atom_site_label
_atom_site_type_symbol
_atom_site_fract_x
_atom_site_fract_y
_atom_site_fract_z
Pm1 Pm 0.181 0.319 0.000
Ge1 Ge 0.000 0.000 0.500
Ge2 Ge 0.122 0.622 0.500
```

Top 10 peaks for 2θ from 5° to 70°, in order of rising 2θ:
two_theta, d [Å], intensity, h k l
31.88, 2.807, 46, 2 0 1
34.16, 2.625, 100, 2 1 1
34.27, 2.616, 10, 2 2 0
38.47, 2.340, 27, 3 1 0
41.93, 2.155, 20, 0 0 2
50.88, 1.795, 13, 4 1 0
55.46, 1.657, 18, 4 1 1
56.96, 1.617, 10, 3 3 1
58.20, 1.585, 16, 3 1 2
67.98, 1.379, 10, 4 1 2

=====

# NaGa2Br3
Theoretical powder diffraction line list, Cu Kα X-rays. Input: a cell relaxed with GGA-PBE.
Lines closer than 0.1° are merged.

Cell and atoms:
```
data_NaGa2Br3
_space_group_name_H-M_alt 'F m m 2'
_space_group_IT_number 42
_space_group_name_Hall 'F 2 -2'
_cell_length_a 6.369
_cell_length_b 18.291
_cell_length_c 6.370
_cell_angle_alpha 90.00
_cell_angle_beta 90.00
_cell_angle_gamma 90.00
loop_
_atom_site_label
_atom_site_type_symbol
_atom_site_fract_x
_atom_site_fract_y
_atom_site_fract_z
Na1 Na 0.000 0.000 0.000
Ga1 Ga 0.000 0.164 0.501
Br1 Br 0.000 0.000 0.500
Br2 Br 0.000 0.159 0.998
```

Top 10 peaks for 2θ from 5° to 70°, in order of rising 2θ:
two_theta, d [Å], intensity, h k l
24.57, 3.623, 9, 1 3 1
28.02, 3.185, 100, 2 0 0
29.30, 3.049, 43, 0 6 0
40.04, 2.252, 38, 2 0 2
40.98, 2.202, 68, 2 6 0
50.38, 1.811, 37, 2 6 2
57.91, 1.592, 12, 4 0 0
65.54, 1.424, 17, 4 0 2
66.21, 1.411, 16, 4 6 0
68.21, 1.375, 13, 2 12 0

=====

Copy entry 2 word for word.
# NaGa2Br3
Theoretical powder diffraction line list, Cu Kα X-rays. Input: a cell relaxed with GGA-PBE.
Lines closer than 0.1° are merged.

Cell and atoms:
```
data_NaGa2Br3
_space_group_name_H-M_alt 'F m m 2'
_space_group_IT_number 42
_space_group_name_Hall 'F 2 -2'
_cell_length_a 6.369
_cell_length_b 18.291
_cell_length_c 6.370
_cell_angle_alpha 90.00
_cell_angle_beta 90.00
_cell_angle_gamma 90.00
loop_
_atom_site_label
_atom_site_type_symbol
_atom_site_fract_x
_atom_site_fract_y
_atom_site_fract_z
Na1 Na 0.000 0.000 0.000
Ga1 Ga 0.000 0.164 0.501
Br1 Br 0.000 0.000 0.500
Br2 Br 0.000 0.159 0.998
```

Top 10 peaks for 2θ from 5° to 70°, in order of rising 2θ:
two_theta, d [Å], intensity, h k l
24.57, 3.623, 9, 1 3 1
28.02, 3.185, 100, 2 0 0
29.30, 3.049, 43, 0 6 0
40.04, 2.252, 38, 2 0 2
40.98, 2.202, 68, 2 6 0
50.38, 1.811, 37, 2 6 2
57.91, 1.592, 12, 4 0 0
65.54, 1.424, 17, 4 0 2
66.21, 1.411, 16, 4 6 0
68.21, 1.375, 13, 2 12 0